Record 1
Diffraction record for KNaCd2Cl6. The powder XRD pattern is theoretical, not measured: it uses a structure optimized by DFT (PBE) and a wavelength of 1.5418 Å.
No peak broadening, texture or thermal motion is included.

The 10 most intense peaks (10° ≤ 2θ ≤ 90°), low angle first:
2θ/deg  d/Å  I_rel
17.30  5.125  100.0
24.27  3.668  52.0
24.86  3.581  35.7
28.96  3.084  29.7
35.02  2.562  53.9
38.92  2.314  50.9
39.70  2.270  17.9
43.42  2.084  28.8
43.78  2.068  31.5
54.26  1.690  13.1

Cell and atoms:
Cell: 7.3394 7.3394 7.3394 Å, 58.41 58.41 58.41°
Positions (direct):
K1 0.0000 0.0000 0.0000
Na1 0.4790 0.4790 0.4790
Cd1 0.2711 0.2711 0.2711
Cd2 0.7768 0.7768 0.7768
Cl1 0.0487 0.6119 0.4433
Cl2 0.1463 0.5382 0.9097
Cl3 0.4433 0.0487 0.6119
Cl4 0.5382 0.9097 0.1463
Cl5 0.6119 0.4433 0.0487
Cl6 0.9097 0.1463 0.5382

=====

Record 2
Diffraction record for ZnIBr. The powder XRD pattern is theoretical, not measured: it uses a structure optimized by DFT (PBE) and a wavelength of 1.5418 Å.
No peak broadening, texture or thermal motion is included.

The 10 most intense peaks (10° ≤ 2θ ≤ 90°), low angle first:
2θ/deg  d/Å  I_rel
15.74  5.630  17.9
16.31  5.434  9.7
25.49  3.494  100.0
28.58  3.123  7.3
39.88  2.260  22.7
42.91  2.108  18.5
43.84  2.065  19.9
47.07  1.931  15.0
48.78  1.867  16.3
53.92  1.701  12.2

Cell and atoms:
Cell: 7.1275 7.1275 7.1275 Å, 128.02 125.28 78.84°
Positions (direct):
Zn1 0.1275 0.3775 0.7500
Zn2 0.3725 0.1225 0.2500
I1 0.2500 0.0083 0.7583
I2 0.7500 0.4917 0.7417
Br1 0.0427 0.2500 0.2927
Br2 0.4573 0.7500 0.2073